1.
Diffraction record for AcLa2Cd8. The PXRD pattern is simulated, not measured: it uses a DFT-relaxed cell (PBE, Alexandria) and copper Kα.

Top 8 peaks for 10° ≤ 2θ ≤ 90°, by intensity:
2θ (°)  intensity
31.78  100
34.55  49
32.73  33
35.44  22
63.01  17
35.90  16
41.88  15
30.30  14

Cell and atoms:
```
11
Lattice="4.319 -8.219 0.000 4.319 8.219 0.000 -3.450 0.000 4.242" Properties=species:S:1:pos:R:3 pbc="T T T"
Ac 0.000 0.000 0.000
La 2.594 3.152 2.121
La 2.594 -3.152 2.121
Cd -0.541 2.106 3.096
Cd 4.319 4.869 0.000
Cd -0.541 -2.106 3.096
Cd 1.716 0.000 3.178
Cd 3.471 0.000 1.064
Cd 5.728 2.106 1.146
Cd 4.319 -4.869 0.000
Cd 5.728 -2.106 1.146
```



2.
Diffraction record for Ho3ScAg3Te8. The PXRD pattern is simulated, not measured: it uses a DFT-relaxed cell (PBE, Alexandria) and copper Kα.

Top 8 peaks for 10° ≤ 2θ ≤ 90°, by intensity:
2θ (°)  intensity
29.24  100
41.82  75
51.85  26
68.66  17
68.77  17
76.39  16
60.59  8
14.50  8

Cell and atoms:
```
15
Lattice="7.472 -4.320 0.000 7.472 4.320 0.000 -4.995 0.000 7.062" Properties=species:S:1:pos:R:3 pbc="T T T"
Ho 0.000 0.000 0.000
Ho 1.239 2.160 3.531
Ho 1.239 -2.160 3.531
Sc 7.472 0.000 0.000
Ag 3.736 2.160 0.000
Ag 3.736 -2.160 0.000
Ag 4.975 0.000 3.531
Te 2.515 0.000 1.761
Te 0.041 0.000 5.355
Te 6.235 2.092 1.715
Te 3.714 2.092 5.348
Te 6.235 -2.092 1.715
Te 3.714 -2.092 5.348
Te 9.909 0.000 1.707
Te 7.434 0.000 5.301
```



3.
Diffraction record for LiYPuRu. The PXRD pattern is simulated, not measured: it uses a DFT-relaxed cell (PBE, Alexandria) and copper Kα.

Top 8 peaks for 10° ≤ 2θ ≤ 90°, by intensity:
2θ (°)  intensity
36.68  100
22.22  37
66.05  36
25.71  31
43.30  21
52.84  18
89.43  17
59.67  13

Cell and atoms:
```
16
Lattice="6.930 0.000 0.000 0.000 6.930 0.000 0.000 0.000 6.930" Properties=species:S:1:pos:R:3 pbc="T T T"
Li 0.000 0.000 0.000
Li 0.000 3.465 3.465
Li 3.465 0.000 3.465
Li 3.465 3.465 0.000
Y 1.732 1.732 1.732
Y 1.732 5.197 5.197
Y 5.197 1.732 5.197
Y 5.197 5.197 1.732
Pu 1.732 1.732 5.197
Pu 1.732 5.197 1.732
Pu 5.197 1.732 1.732
Pu 5.197 5.197 5.197
Ru 0.000 0.000 3.465
Ru 0.000 3.465 0.000
Ru 3.465 0.000 0.000
Ru 3.465 3.465 3.465
```



4.
Diffraction record for ZrZnIn2. The PXRD pattern is simulated, not measured: it uses a DFT-relaxed cell (PBE, Alexandria) and copper Kα.

Top 8 peaks for 10° ≤ 2θ ≤ 90°, by intensity:
2θ (°)  intensity
35.01  100
35.57  96
59.09  52
40.29  34
41.26  31
41.38  31
69.84  12
70.19  12

Cell and atoms:
```
8
Lattice="6.111 0.000 0.000 0.000 8.954 0.000 -0.009 0.000 3.126" Properties=species:S:1:pos:R:3 pbc="T T T"
Zr 0.000 0.000 0.000
Zr 3.055 4.477 0.000
Zn 0.000 4.477 0.000
Zn 3.055 0.000 0.000
In 1.523 2.238 1.563
In 1.523 6.715 1.563
In 4.578 2.238 1.563
In 4.578 6.715 1.563
```



5.
Diffraction record for RbSnBi2Pb. The PXRD pattern is simulated, not measured: it uses a DFT-relaxed cell (PBE, Alexandria) and copper Kα.

Top 8 peaks for 10° ≤ 2θ ≤ 90°, by intensity:
2θ (°)  intensity
35.32  100
32.79  97
26.59  85
25.65  77
17.52  62
60.18  45
42.09  42
64.96  40

Cell and atoms:
```
10
Lattice="5.462 0.000 0.000 0.000 5.462 0.000 0.000 0.000 13.501" Properties=species:S:1:pos:R:3 pbc="T T T"
Rb 0.000 0.000 0.000
Rb 2.731 2.731 6.751
Sn 0.000 2.731 10.126
Sn 2.731 0.000 3.375
Bi 0.000 0.000 5.077
Bi 0.000 0.000 8.424
Bi 2.731 2.731 1.674
Bi 2.731 2.731 11.827
Pb 0.000 2.731 3.375
Pb 2.731 0.000 10.126
```



6.
Diffraction record for PmY6Tm2. The PXRD pattern is simulated, not measured: it uses a DFT-relaxed cell (PBE, Alexandria) and copper Kα.

Top 8 peaks for 10° ≤ 2θ ≤ 90°, by intensity:
2θ (°)  intensity
31.91  100
31.50  90
31.33  49
31.70  46
45.17  32
62.87  28
56.86  18
56.14  16

Cell and atoms:
```
18
Lattice="-2.855 4.829 10.437 2.855 -4.829 10.437 2.855 4.829 -10.437" Properties=species:S:1:pos:R:3 pbc="T T T"
Pm 0.000 0.000 5.219
Pm 0.000 0.000 15.656
Y 3.021 1.620 -3.445
Y 0.000 0.000 1.724
Y 3.021 -1.620 6.992
Y 3.021 1.620 3.445
Y 0.000 0.000 8.714
Y 0.166 3.208 3.445
Y 2.689 1.620 6.992
Y 0.000 0.000 12.161
Y -0.166 3.208 6.992
Y -0.166 6.449 3.445
Y 0.000 0.000 19.151
Y -0.166 3.208 13.882
Tm 2.679 1.619 0.000
Tm 2.679 -1.619 10.437
Tm 0.176 6.448 0.000
Tm 0.176 3.209 10.437
```